1.
Tb5YHg2: computed PXRD pattern (Cu Kα (λ = 1.5418 Å)), based on a structure optimized by DFT (GGA-PBE).
Intensities are scaled so that the largest is 100.

Crystal structure
```
data_Tb5YHg2
_space_group_name_H-M_alt 'I m m m'
_space_group_IT_number 71
_space_group_name_Hall '-I 2 2'
_cell_length_a 3.6849
_cell_length_b 10.3538
_cell_length_c 12.2953
_cell_angle_alpha 90.00
_cell_angle_beta 90.00
_cell_angle_gamma 90.00
loop_
_atom_site_label
_atom_site_type_symbol
_atom_site_fract_x
_atom_site_fract_y
_atom_site_fract_z
_atom_site_occupancy
Tb1 Tb 0.0000 0.0000 0.0000 1
Tb2 Tb 0.0000 0.2777 0.3627 1
Y1 Y 0.0000 0.5000 0.0000 1
Hg1 Hg 0.0000 0.0000 0.2683 1
```

Most intense lines, 15 to 90 degrees two-theta, by intensity:
2.643 Å, 2θ = 33.92°, I = 100.0, (0 2 4)
2.740 Å, 2θ = 32.68°, I = 58.6, (1 0 3)
2.916 Å, 2θ = 30.66°, I = 56.6, (1 2 1)
2.588 Å, 2θ = 34.65°, I = 38.0, (0 4 0)
1.511 Å, 2θ = 61.34°, I = 36.6, (2 2 4)
2.519 Å, 2θ = 35.64°, I = 33.7, (1 3 0)
1.882 Å, 2θ = 48.37°, I = 29.3, (1 4 3)
1.516 Å, 2θ = 61.13°, I = 28.6, (1 2 7)
2.301 Å, 2θ = 39.14°, I = 24.1, (1 1 4)
1.557 Å, 2θ = 59.37°, I = 20.0, (1 5 4)
1.842 Å, 2θ = 49.47°, I = 17.9, (2 0 0)
3.023 Å, 2θ = 29.55°, I = 16.9, (1 1 2)

***

2.
Pr4SbTe3: computed PXRD pattern (Cu Kα (λ = 1.5418 Å)), based on a structure optimized by DFT (GGA-PBE).
Intensities are scaled so that the largest is 100.

Crystal structure
```
data_Pr4SbTe3
_space_group_name_H-M_alt 'C m m m'
_space_group_IT_number 65
_space_group_name_Hall '-C 2 2'
_cell_length_a 9.1319
_cell_length_b 12.8435
_cell_length_c 4.5195
_cell_angle_alpha 90.00
_cell_angle_beta 90.00
_cell_angle_gamma 90.00
loop_
_atom_site_label
_atom_site_type_symbol
_atom_site_fract_x
_atom_site_fract_y
_atom_site_fract_z
_atom_site_occupancy
Pr1 Pr 0.0000 0.2452 0.0000 1
Pr2 Pr 0.2420 0.0000 0.5000 1
Sb1 Sb 0.0000 0.0000 0.0000 1
Te1 Te 0.0000 0.5000 0.0000 1
Te2 Te 0.2500 0.2500 0.5000 1
```

Most intense lines, 15 to 90 degrees two-theta, by intensity:
3.212 Å, 2θ = 27.78°, I = 100.0, (2 0 1)
2.271 Å, 2θ = 39.69°, I = 50.9, (2 4 1)
1.436 Å, 2θ = 64.93°, I = 23.4, (4 4 2)
1.861 Å, 2θ = 48.96°, I = 13.8, (4 4 0)
1.848 Å, 2θ = 49.31°, I = 13.6, (0 4 2)
2.283 Å, 2θ = 39.47°, I = 12.9, (4 0 0)
1.606 Å, 2θ = 57.38°, I = 12.8, (4 0 2)
2.260 Å, 2θ = 39.89°, I = 12.6, (0 0 2)
1.316 Å, 2θ = 71.74°, I = 8.6, (6 4 1)
1.307 Å, 2θ = 72.30°, I = 8.6, (2 4 3)
1.442 Å, 2θ = 64.62°, I = 5.9, (6 0 1)
1.431 Å, 2θ = 65.21°, I = 5.8, (2 0 3)

***

3.
TcSbO5: computed PXRD pattern (Cu Kα (λ = 1.5418 Å)), based on a structure optimized by DFT (GGA-PBE).
Intensities are scaled so that the largest is 100.

Crystal structure
```
data_TcSbO5
_space_group_name_H-M_alt 'I m m m'
_space_group_IT_number 71
_space_group_name_Hall '-I 2 2'
_cell_length_a 3.6956
_cell_length_b 6.5397
_cell_length_c 7.9025
_cell_angle_alpha 90.00
_cell_angle_beta 90.00
_cell_angle_gamma 90.00
loop_
_atom_site_label
_atom_site_type_symbol
_atom_site_fract_x
_atom_site_fract_y
_atom_site_fract_z
_atom_site_occupancy
Tc1 Tc 0.0000 0.0000 0.0000 1
Sb1 Sb 0.0000 0.0000 0.5000 1
O1 O 0.0000 0.0000 0.2331 1
O2 O 0.0000 0.3092 0.0000 1
O3 O 0.0000 0.5000 0.5000 1
```

Most intense lines, 15 to 90 degrees two-theta, by intensity:
3.217 Å, 2θ = 27.73°, I = 100.0, (1 1 0)
3.951 Å, 2θ = 22.50°, I = 95.4, (0 0 2)
3.270 Å, 2θ = 27.27°, I = 62.9, (0 2 0)
2.495 Å, 2θ = 36.00°, I = 50.0, (1 1 2)
2.519 Å, 2θ = 35.64°, I = 32.8, (0 2 2)
1.684 Å, 2θ = 54.50°, I = 28.5, (1 1 4)
1.878 Å, 2θ = 48.48°, I = 28.4, (1 3 0)
1.696 Å, 2θ = 54.08°, I = 24.8, (1 3 2)
1.976 Å, 2θ = 45.94°, I = 21.0, (0 0 4)
1.361 Å, 2θ = 69.00°, I = 18.0, (1 3 4)
1.848 Å, 2θ = 49.32°, I = 17.0, (2 0 0)
1.691 Å, 2θ = 54.25°, I = 16.9, (0 2 4)

***

4.
Ce5DyRu5: computed PXRD pattern (Cu Kα (λ = 1.5418 Å)), based on a structure optimized by DFT (GGA-PBE).
Intensities are scaled so that the largest is 100.

Crystal structure
```
data_Ce5DyRu5
_space_group_name_H-M_alt 'C 1 2/m 1'
_space_group_IT_number 12
_space_group_name_Hall '-C 2y'
_cell_length_a 12.5432
_cell_length_b 5.6707
_cell_length_c 7.8565
_cell_angle_alpha 90.00
_cell_angle_beta 109.76
_cell_angle_gamma 90.00
loop_
_atom_site_label
_atom_site_type_symbol
_atom_site_fract_x
_atom_site_fract_y
_atom_site_fract_z
_atom_site_occupancy
Ce1 Ce 0.0000 0.0000 0.0000 1
Ce2 Ce 0.1600 0.5000 0.3433 1
Ce3 Ce 0.1724 0.5000 0.8440 1
Dy1 Dy 0.0000 0.0000 0.5000 1
Ru1 Ru 0.0000 0.5000 0.5000 1
Ru2 Ru 0.1469 0.0000 0.2900 1
Ru3 Ru 0.1986 0.0000 0.8257 1
```

Most intense lines, 15 to 90 degrees two-theta, by intensity:
2.835 Å, 2θ = 31.55°, I = 100.0, (0 2 0)
2.817 Å, 2θ = 31.77°, I = 85.7, (4 0 -2)
2.744 Å, 2θ = 32.64°, I = 81.4, (2 0 2)
1.998 Å, 2θ = 45.38°, I = 63.4, (4 2 -2)
1.972 Å, 2θ = 46.03°, I = 62.1, (2 2 2)
1.615 Å, 2θ = 57.02°, I = 57.1, (2 2 -4)
3.231 Å, 2θ = 27.61°, I = 41.2, (3 1 0)
1.963 Å, 2θ = 46.24°, I = 28.4, (2 0 -4)
1.967 Å, 2θ = 46.14°, I = 25.6, (6 0 0)
1.150 Å, 2θ = 84.21°, I = 18.7, (2 4 -4)
1.418 Å, 2θ = 65.87°, I = 14.1, (0 4 0)
1.259 Å, 2θ = 75.48°, I = 14.1, (2 4 2)

***

5.
Sb3Te3I: computed PXRD pattern (Cu Kα (λ = 1.5418 Å)), based on a structure optimized by DFT (GGA-PBE).
Intensities are scaled so that the largest is 100.

Crystal structure
```
data_Sb3Te3I
_space_group_name_H-M_alt 'I -4 3 m'
_space_group_IT_number 217
_space_group_name_Hall 'I -4 2 3'
_cell_length_a 12.7294
_cell_length_b 12.7294
_cell_length_c 12.7294
_cell_angle_alpha 90.00
_cell_angle_beta 90.00
_cell_angle_gamma 90.00
loop_
_atom_site_label
_atom_site_type_symbol
_atom_site_fract_x
_atom_site_fract_y
_atom_site_fract_z
_atom_site_occupancy
Sb1 Sb 0.1111 0.3748 0.3748 1
Te1 Te 0.1184 0.3806 0.6194 1
I1 I 0.1302 0.1302 0.8698 1
```

Most intense lines, 15 to 90 degrees two-theta, by intensity:
3.182 Å, 2θ = 28.04°, I = 100.0, (4 0 0)
2.250 Å, 2θ = 40.07°, I = 73.9, (4 4 0)
1.423 Å, 2θ = 65.60°, I = 30.9, (8 4 0)
1.837 Å, 2θ = 49.62°, I = 25.6, (4 4 4)
1.299 Å, 2θ = 72.80°, I = 22.0, (8 4 4)
1.591 Å, 2θ = 57.96°, I = 11.6, (8 0 0)
5.197 Å, 2θ = 17.06°, I = 6.8, (2 1 1)
1.125 Å, 2θ = 86.50°, I = 6.7, (8 8 0)
2.496 Å, 2θ = 35.97°, I = 5.3, (5 1 0)
3.402 Å, 2θ = 26.19°, I = 5.0, (3 2 1)
3.675 Å, 2θ = 24.22°, I = 5.0, (2 2 2)
1.964 Å, 2θ = 46.22°, I = 4.1, (5 4 1)

***

6.
Li4SiP4: computed PXRD pattern (Cu Kα (λ = 1.5418 Å)), based on a structure optimized by DFT (GGA-PBE).
Intensities are scaled so that the largest is 100.

Crystal structure
```
data_Li4SiP4
_space_group_name_H-M_alt 'P -1'
_space_group_IT_number 2
_space_group_name_Hall '-P 1'
_cell_length_a 5.4393
_cell_length_b 6.9599
_cell_length_c 8.8038
_cell_angle_alpha 86.63
_cell_angle_beta 84.36
_cell_angle_gamma 72.06
loop_
_atom_site_label
_atom_site_type_symbol
_atom_site_fract_x
_atom_site_fract_y
_atom_site_fract_z
_atom_site_occupancy
Li1 Li 0.0804 0.1995 0.0039 1
Li2 Li 0.1051 0.2474 0.5843 1
Li3 Li 0.2910 0.8352 0.5217 1
Li4 Li 0.3963 0.7236 0.1989 1
Si1 Si 0.4075 0.2902 0.2368 1
P1 P 0.1582 0.0771 0.3082 1
P2 P 0.1958 0.9560 0.7899 1
P3 P 0.3039 0.4786 0.0217 1
P4 P 0.3237 0.4800 0.4528 1
```

Most intense lines, 15 to 90 degrees two-theta, by intensity:
3.703 Å, 2θ = 24.03°, I = 100.0, (0 1 2)
3.602 Å, 2θ = 24.71°, I = 99.2, (0 1 -2)
5.358 Å, 2θ = 16.54°, I = 83.3, (0 1 1)
3.574 Å, 2θ = 24.91°, I = 76.8, (1 -1 0)
2.422 Å, 2θ = 37.12°, I = 58.7, (2 2 0)
5.205 Å, 2θ = 17.03°, I = 47.5, (0 1 -1)
2.523 Å, 2θ = 35.58°, I = 37.8, (1 2 -2)
3.309 Å, 2θ = 26.94°, I = 36.2, (0 2 0)
2.007 Å, 2θ = 45.18°, I = 33.0, (2 -1 2)
1.802 Å, 2θ = 50.65°, I = 30.5, (3 1 0)
2.132 Å, 2θ = 42.40°, I = 27.5, (-1 2 2)
1.947 Å, 2θ = 46.66°, I = 26.5, (0 3 -2)

***

7.
La2TbPb2: computed PXRD pattern (Cu Kα (λ = 1.5418 Å)), based on a structure optimized by DFT (GGA-PBE).
Intensities are scaled so that the largest is 100.

Crystal structure
```
data_La2TbPb2
_space_group_name_H-M_alt 'P 4/m b m'
_space_group_IT_number 127
_space_group_name_Hall '-P 4 2ab'
_cell_length_a 8.3803
_cell_length_b 8.3803
_cell_length_c 4.7275
_cell_angle_alpha 90.00
_cell_angle_beta 90.00
_cell_angle_gamma 90.00
loop_
_atom_site_label
_atom_site_type_symbol
_atom_site_fract_x
_atom_site_fract_y
_atom_site_fract_z
_atom_site_occupancy
La1 La 0.1696 0.3304 0.0000 1
Tb1 Tb 0.0000 0.0000 0.5000 1
Pb1 Pb 0.1349 0.6349 0.5000 1
```

Most intense lines, 15 to 90 degrees two-theta, by intensity:
2.937 Å, 2θ = 30.44°, I = 100.0, (2 1 1)
2.650 Å, 2θ = 33.82°, I = 38.9, (3 1 0)
1.764 Å, 2θ = 51.83°, I = 23.5, (3 1 2)
2.364 Å, 2θ = 38.07°, I = 19.0, (0 0 2)
1.478 Å, 2θ = 62.87°, I = 15.3, (5 2 1)
3.136 Å, 2θ = 28.46°, I = 14.7, (2 0 1)
4.727 Å, 2θ = 18.77°, I = 12.9, (0 0 1)
2.312 Å, 2θ = 38.96°, I = 12.6, (3 1 1)
1.453 Å, 2θ = 64.11°, I = 12.2, (2 1 3)
1.867 Å, 2θ = 48.77°, I = 9.0, (4 1 1)
1.552 Å, 2θ = 59.55°, I = 7.5, (5 1 1)
2.086 Å, 2θ = 43.38°, I = 7.1, (3 2 1)

***

8.
Ba3LaW: computed PXRD pattern (Cu Kα (λ = 1.5418 Å)), based on a structure optimized by DFT (GGA-PBE).
Intensities are scaled so that the largest is 100.

Crystal structure
```
data_Ba3LaW
_space_group_name_H-M_alt 'P m -3 m'
_space_group_IT_number 221
_space_group_name_Hall '-P 4 2 3'
_cell_length_a 6.0662
_cell_length_b 6.0662
_cell_length_c 6.0662
_cell_angle_alpha 90.00
_cell_angle_beta 90.00
_cell_angle_gamma 90.00
loop_
_atom_site_label
_atom_site_type_symbol
_atom_site_fract_x
_atom_site_fract_y
_atom_site_fract_z
_atom_site_occupancy
Ba1 Ba 0.0000 0.0000 0.5000 1
La1 La 0.5000 0.5000 0.5000 1
W1 W 0.0000 0.0000 0.0000 1
```

Most intense lines, 15 to 90 degrees two-theta, by intensity:
3.033 Å, 2θ = 29.45°, I = 100.0, (2 0 0)
2.145 Å, 2θ = 42.13°, I = 75.3, (2 2 0)
3.502 Å, 2θ = 25.43°, I = 47.3, (1 1 1)
1.356 Å, 2θ = 69.27°, I = 34.7, (4 2 0)
4.289 Å, 2θ = 20.71°, I = 32.2, (1 1 0)
1.751 Å, 2θ = 52.24°, I = 26.8, (2 2 2)
1.238 Å, 2θ = 77.01°, I = 25.9, (4 2 2)
1.829 Å, 2θ = 49.86°, I = 21.8, (3 1 1)
2.713 Å, 2θ = 33.02°, I = 18.0, (2 1 0)
2.477 Å, 2θ = 36.27°, I = 15.7, (2 1 1)
1.517 Å, 2θ = 61.11°, I = 12.6, (4 0 0)
2.022 Å, 2θ = 44.82°, I = 9.7, (3 0 0)

***

9.
ReAsBr2: computed PXRD pattern (Cu Kα (λ = 1.5418 Å)), based on a structure optimized by DFT (GGA-PBE).
Intensities are scaled so that the largest is 100.

Crystal structure
```
data_ReAsBr2
_space_group_name_H-M_alt 'C m m m'
_space_group_IT_number 65
_space_group_name_Hall '-C 2 2'
_cell_length_a 4.7699
_cell_length_b 14.6433
_cell_length_c 3.3048
_cell_angle_alpha 90.00
_cell_angle_beta 90.00
_cell_angle_gamma 90.00
loop_
_atom_site_label
_atom_site_type_symbol
_atom_site_fract_x
_atom_site_fract_y
_atom_site_fract_z
_atom_site_occupancy
Re1 Re 0.0000 0.0000 0.0000 1
As1 As 0.0000 0.5000 0.0000 1
Br1 Br 0.0000 0.1378 0.5000 1
```

Most intense lines, 15 to 90 degrees two-theta, by intensity:
4.535 Å, 2θ = 19.57°, I = 100.0, (1 1 0)
2.453 Å, 2θ = 36.63°, I = 79.2, (0 4 1)
3.012 Å, 2θ = 29.66°, I = 66.1, (0 2 1)
1.710 Å, 2θ = 53.59°, I = 52.6, (2 4 1)
2.374 Å, 2θ = 37.90°, I = 50.4, (1 3 1)
2.385 Å, 2θ = 37.72°, I = 38.0, (2 0 0)
1.870 Å, 2θ = 48.70°, I = 33.6, (2 2 1)
2.441 Å, 2θ = 36.83°, I = 25.5, (0 6 0)
2.268 Å, 2θ = 39.75°, I = 20.2, (2 2 0)
1.706 Å, 2θ = 53.74°, I = 17.2, (2 6 0)
1.916 Å, 2θ = 47.46°, I = 15.5, (1 7 0)
1.830 Å, 2θ = 49.82°, I = 14.6, (0 8 0)

***

10.
Cu4RhAu: computed PXRD pattern (Cu Kα (λ = 1.5418 Å)), based on a structure optimized by DFT (GGA-PBE).
Intensities are scaled so that the largest is 100.

Crystal structure
```
data_Cu4RhAu
_space_group_name_H-M_alt 'P m m m'
_space_group_IT_number 47
_space_group_name_Hall '-P 2 2'
_cell_length_a 2.7995
_cell_length_b 3.3821
_cell_length_c 8.5407
_cell_angle_alpha 90.00
_cell_angle_beta 90.00
_cell_angle_gamma 90.00
loop_
_atom_site_label
_atom_site_type_symbol
_atom_site_fract_x
_atom_site_fract_y
_atom_site_fract_z
_atom_site_occupancy
Cu1 Cu 0.0000 0.0000 0.1644 1
Cu2 Cu 0.5000 0.5000 0.3148 1
Rh1 Rh 0.5000 0.5000 0.0000 1
Au1 Au 0.0000 0.0000 0.5000 1
```

Most intense lines, 15 to 90 degrees two-theta, by intensity:
2.178 Å, 2θ = 41.46°, I = 100.0, (0 1 3)
2.157 Å, 2θ = 41.89°, I = 99.9, (1 1 0)
1.996 Å, 2θ = 45.44°, I = 76.4, (1 0 3)
1.290 Å, 2θ = 73.38°, I = 34.9, (1 2 3)
3.144 Å, 2θ = 28.38°, I = 26.4, (0 1 1)
1.178 Å, 2θ = 81.79°, I = 26.0, (2 1 3)
1.188 Å, 2θ = 80.92°, I = 24.6, (1 1 6)
1.691 Å, 2θ = 54.24°, I = 22.9, (0 2 0)
4.270 Å, 2θ = 20.80°, I = 17.8, (0 0 2)
2.660 Å, 2θ = 33.69°, I = 17.1, (1 0 1)
1.400 Å, 2θ = 66.84°, I = 11.9, (2 0 0)
1.423 Å, 2θ = 65.58°, I = 11.3, (0 0 6)

***

11.
Na8Cd2Sn: computed PXRD pattern (Cu Kα (λ = 1.5418 Å)), based on a structure optimized by DFT (GGA-PBE).
Intensities are scaled so that the largest is 100.

Crystal structure
```
data_Na8Cd2Sn
_space_group_name_H-M_alt 'P 1'
_space_group_IT_number 1
_space_group_name_Hall 'P 1'
_cell_length_a 5.4561
_cell_length_b 7.9004
_cell_length_c 9.2359
_cell_angle_alpha 64.75
_cell_angle_beta 72.94
_cell_angle_gamma 89.99
loop_
_atom_site_label
_atom_site_type_symbol
_atom_site_fract_x
_atom_site_fract_y
_atom_site_fract_z
_atom_site_occupancy
Na1 Na 0.0000 0.0000 0.0000 1
Na2 Na 0.0346 0.5301 0.9298 1
Na3 Na 0.1939 0.3541 0.6113 1
Na4 Na 0.3537 0.8496 0.2933 1
Na5 Na 0.3893 0.3870 0.2228 1
Na6 Na 0.5854 0.9055 0.8305 1
Na7 Na 0.6941 0.6725 0.6111 1
Na8 Na 0.8025 0.1253 0.3961 1
Cd1 Cd 0.5353 0.2585 0.9275 1
Cd2 Cd 0.8551 0.5766 0.2933 1
Sn1 Sn 0.1942 0.9415 0.6123 1
```

Most intense lines, 15 to 90 degrees two-theta, by intensity:
2.735 Å, 2θ = 32.75°, I = 100.0, (1 2 0)
4.383 Å, 2θ = 20.26°, I = 62.4, (0 1 2)
4.490 Å, 2θ = 19.78°, I = 57.2, (1 1 1)
3.790 Å, 2θ = 23.47°, I = 36.4, (1 0 -1)
2.728 Å, 2θ = 32.83°, I = 30.0, (2 0 1)
2.316 Å, 2θ = 38.88°, I = 23.7, (2 1 0)
2.273 Å, 2θ = 39.66°, I = 22.0, (1 1 -2)
3.950 Å, 2θ = 22.51°, I = 18.4, (0 2 1)
2.634 Å, 2θ = 34.04°, I = 17.0, (0 0 3)
2.372 Å, 2θ = 37.94°, I = 16.4, (1 3 2)
2.356 Å, 2θ = 38.21°, I = 15.1, (0 3 0)
1.783 Å, 2θ = 51.24°, I = 12.8, (2 3 1)

***

12.
Hf7Ge5Sb: computed PXRD pattern (Cu Kα (λ = 1.5418 Å)), based on a structure optimized by DFT (GGA-PBE).
Intensities are scaled so that the largest is 100.

Crystal structure
```
data_Hf7Ge5Sb
_space_group_name_H-M_alt 'I m m 2'
_space_group_IT_number 44
_space_group_name_Hall 'I 2 -2'
_cell_length_a 5.4933
_cell_length_b 9.9698
_cell_length_c 9.4240
_cell_angle_alpha 90.00
_cell_angle_beta 90.00
_cell_angle_gamma 90.00
loop_
_atom_site_label
_atom_site_type_symbol
_atom_site_fract_x
_atom_site_fract_y
_atom_site_fract_z
_atom_site_occupancy
Hf1 Hf 0.0000 0.0000 0.0000 1
Hf2 Hf 0.0000 0.0000 0.3401 1
Hf3 Hf 0.0000 0.3306 0.1037 1
Hf4 Hf 0.0000 0.3367 0.6197 1
Hf5 Hf 0.0000 0.5000 0.3566 1
Ge1 Ge 0.0000 0.5000 0.8657 1
Ge2 Ge 0.2495 0.2372 0.8658 1
Sb1 Sb 0.0000 0.0000 0.6626 1
```

Most intense lines, 15 to 90 degrees two-theta, by intensity:
2.435 Å, 2θ = 36.92°, I = 100.0, (1 3 2)
2.843 Å, 2θ = 31.46°, I = 79.0, (1 3 0)
2.143 Å, 2θ = 42.18°, I = 74.0, (2 2 2)
2.747 Å, 2θ = 32.60°, I = 53.4, (2 0 0)
2.356 Å, 2θ = 38.20°, I = 43.7, (0 0 4)
2.203 Å, 2θ = 40.96°, I = 42.5, (0 4 2)
2.727 Å, 2θ = 32.84°, I = 36.7, (1 0 3)
2.392 Å, 2θ = 37.60°, I = 33.0, (1 2 3)
1.422 Å, 2θ = 65.67°, I = 32.2, (2 6 0)
2.373 Å, 2θ = 37.92°, I = 28.2, (2 0 2)
1.374 Å, 2θ = 68.26°, I = 27.0, (4 0 0)
2.116 Å, 2θ = 42.73°, I = 26.8, (1 1 4)

***

13.
Zr3Cl2: computed PXRD pattern (Cu Kα (λ = 1.5418 Å)), based on a structure optimized by DFT (GGA-PBE).
Intensities are scaled so that the largest is 100.

Crystal structure
```
data_Zr3Cl2
_space_group_name_H-M_alt 'R -3 m'
_space_group_IT_number 166
_space_group_name_Hall '-R 3 2"'
_cell_length_a 3.2791
_cell_length_b 3.2791
_cell_length_c 38.1816
_cell_angle_alpha 90.00
_cell_angle_beta 90.00
_cell_angle_gamma 120.00
loop_
_atom_site_label
_atom_site_type_symbol
_atom_site_fract_x
_atom_site_fract_y
_atom_site_fract_z
_atom_site_occupancy
Zr1 Zr 0.0000 0.0000 0.0000 1
Zr2 Zr 0.0000 0.0000 0.1973 1
Cl1 Cl 0.0000 0.0000 0.3820 1
```

Most intense lines, 15 to 90 degrees two-theta, by intensity:
2.662 Å, 2θ = 33.67°, I = 100.0, (0 1 5)
2.279 Å, 2θ = 39.55°, I = 51.8, (1 0 10)
1.640 Å, 2θ = 56.09°, I = 24.6, (1 1 0)
2.198 Å, 2θ = 41.07°, I = 20.5, (0 1 11)
2.545 Å, 2θ = 35.26°, I = 17.8, (0 0 15)
1.827 Å, 2θ = 49.92°, I = 16.9, (1 0 16)
1.378 Å, 2θ = 68.02°, I = 14.9, (1 1 15)
1.396 Å, 2θ = 67.04°, I = 12.3, (2 0 5)
2.832 Å, 2θ = 31.59°, I = 10.4, (1 0 1)
1.218 Å, 2θ = 78.57°, I = 10.4, (1 1 21)
1.584 Å, 2θ = 58.23°, I = 8.9, (0 1 20)
1.331 Å, 2θ = 70.80°, I = 8.7, (0 2 10)

***

14.
Ac6La4Sm: computed PXRD pattern (Cu Kα (λ = 1.5418 Å)), based on a structure optimized by DFT (GGA-PBE).
Intensities are scaled so that the largest is 100.

Crystal structure
```
data_Ac6La4Sm
_space_group_name_H-M_alt 'P -6 m 2'
_space_group_IT_number 187
_space_group_name_Hall 'P -6 2'
_cell_length_a 11.7192
_cell_length_b 11.7192
_cell_length_c 3.8460
_cell_angle_alpha 90.00
_cell_angle_beta 90.00
_cell_angle_gamma 120.00
loop_
_atom_site_label
_atom_site_type_symbol
_atom_site_fract_x
_atom_site_fract_y
_atom_site_fract_z
_atom_site_occupancy
Ac1 Ac 0.1845 0.3691 0.0000 1
Ac2 Ac 0.5351 0.0701 0.5000 1
La1 La 0.3107 0.1554 0.0000 1
La2 La 0.3333 0.6667 0.5000 1
Sm1 Sm 0.0000 0.0000 0.5000 1
```

Most intense lines, 15 to 90 degrees two-theta, by intensity:
3.065 Å, 2θ = 29.13°, I = 100.0, (2 0 1)
2.930 Å, 2θ = 30.51°, I = 79.2, (2 2 0)
3.383 Å, 2θ = 26.34°, I = 43.4, (3 0 0)
2.716 Å, 2θ = 32.98°, I = 40.6, (2 1 1)
1.608 Å, 2θ = 57.31°, I = 27.2, (2 2 2)
1.921 Å, 2θ = 47.31°, I = 24.3, (0 0 2)
1.992 Å, 2θ = 45.54°, I = 23.3, (3 2 1)
3.836 Å, 2θ = 23.19°, I = 21.4, (2 1 0)
1.795 Å, 2θ = 50.86°, I = 20.3, (5 0 1)
3.215 Å, 2θ = 27.75°, I = 19.5, (1 1 1)
2.118 Å, 2θ = 42.69°, I = 19.2, (4 0 1)
1.625 Å, 2θ = 56.64°, I = 16.9, (5 2 0)